BaAc8Rh5: theoretical XRD peak list (λ = 1.5418 Å (Cu Kα)), based on the GGA-PBE geometry in Alexandria.
Intensities are scaled so that the largest is 100.

Largest 8 diffraction maxima, in order of falling intensity, 2θ = 15–90°:
- 26.19°, d = 3.403 Å, intensity 100
- 27.58°, d = 3.234 Å, intensity 78
- 41.68°, d = 2.167 Å, intensity 62
- 26.44°, d = 3.371 Å, intensity 48
- 49.61°, d = 1.837 Å, intensity 41
- 27.83°, d = 3.206 Å, intensity 39
- 37.40°, d = 2.405 Å, intensity 38
- 25.74°, d = 3.461 Å, intensity 35

Atomic structure:
abc: 11.4298 11.4298 10.6799
angles: 103.26 103.26 22.12
Positions (direct):
1 Ba 0.0000 0.0000 0.0000
2 Ac 0.0721 0.0721 0.6575
3 Ac 0.2592 0.2592 0.3386
4 Ac 0.3250 0.3250 0.0086
5 Ac 0.4044 0.4044 0.6512
6 Ac 0.5956 0.5956 0.3488
7 Ac 0.6750 0.6750 0.9914
8 Ac 0.7408 0.7408 0.6614
9 Ac 0.9279 0.9279 0.3425
10 Rh 0.1654 0.1654 0.5034
11 Rh 0.2018 0.2018 0.8228
12 Rh 0.5000 0.5000 0.5000
13 Rh 0.7982 0.7982 0.1772
14 Rh 0.8346 0.8346 0.4966